Record 1
For SrMg14Ni, the PBE geometry in the Materials Project gives the theoretical PXRD pattern in this record (CuKα).
Kinematic intensities with the Lorentz-polarization factor, no thermal factor.

Cell and atoms:
a b c (Å): 6.446 6.446 10.343
angles (deg): 90.00 90.00 120.00
Atoms (fractional coordinates):
Sr 0.000 0.000 0.000
Mg 0.012 0.506 0.000
Mg 0.162 0.324 0.276
Mg 0.162 0.324 0.724
Mg 0.162 0.838 0.276
Mg 0.162 0.838 0.724
Mg 0.494 0.506 0.000
Mg 0.494 0.988 0.000
Mg 0.505 0.011 0.500
Mg 0.505 0.495 0.500
Mg 0.667 0.333 0.239
Mg 0.667 0.333 0.761
Mg 0.676 0.838 0.276
Mg 0.676 0.838 0.724
Mg 0.989 0.495 0.500
Ni 0.000 0.000 0.500

Main lines, sorted by position (5 to 70 degrees two-theta):
2θ = 15.9°, intensity 22.9
2θ = 23.4°, intensity 15.7
2θ = 32.1°, intensity 27.3
2θ = 34.7°, intensity 23.1
2θ = 36.6°, intensity 100.0
2θ = 48.0°, intensity 16.5
2θ = 57.2°, intensity 17.5
2θ = 63.4°, intensity 14.9
2θ = 68.6°, intensity 17.2
2θ = 69.8°, intensity 13.6



Record 2
For Tb9Mg5Ni4, the PBE geometry in the Materials Project gives the theoretical PXRD pattern in this record (CuKα).
Kinematic intensities with the Lorentz-polarization factor, no thermal factor.

Cell and atoms:
a b c (Å): 10.940 10.940 3.648
angles (deg): 90.00 90.00 90.00
Atoms (fractional coordinates):
Tb 0.000 0.000 0.000
Tb 0.000 0.276 0.500
Tb 0.000 0.724 0.500
Tb 0.276 0.000 0.500
Tb 0.324 0.324 0.500
Tb 0.324 0.676 0.500
Tb 0.676 0.324 0.500
Tb 0.676 0.676 0.500
Tb 0.724 0.000 0.500
Mg 0.142 0.500 0.000
Mg 0.500 0.142 0.000
Mg 0.500 0.500 0.000
Mg 0.500 0.858 0.000
Mg 0.858 0.500 0.000
Ni 0.190 0.190 0.000
Ni 0.190 0.810 0.000
Ni 0.810 0.190 0.000
Ni 0.810 0.810 0.000

Main lines, sorted by position (5 to 70 degrees two-theta):
2θ = 8.1°, intensity 19.4
2θ = 16.2°, intensity 13.3
2θ = 24.4°, intensity 48.0
2θ = 29.4°, intensity 12.8
2θ = 33.8°, intensity 29.1
2θ = 34.8°, intensity 100.0
2θ = 38.6°, intensity 35.9
2θ = 50.0°, intensity 20.2
2θ = 59.1°, intensity 16.3
2θ = 62.4°, intensity 19.1



Record 3
For Tb4MgNi, the PBE geometry in the Materials Project gives the theoretical PXRD pattern in this record (CuKα).
Kinematic intensities with the Lorentz-polarization factor, no thermal factor.

Cell and atoms:
a b c (Å): 9.647 9.647 9.647
angles (deg): 60.00 60.00 60.00
Atoms (fractional coordinates):
Tb 0.184 0.184 0.816
Tb 0.184 0.816 0.184
Tb 0.184 0.816 0.816
Tb 0.404 0.404 0.404
Tb 0.404 0.404 0.788
Tb 0.404 0.788 0.404
Tb 0.562 0.562 0.938
Tb 0.562 0.938 0.562
Tb 0.562 0.938 0.938
Tb 0.788 0.404 0.404
Tb 0.816 0.184 0.184
Tb 0.816 0.184 0.816
Tb 0.816 0.816 0.184
Tb 0.938 0.562 0.562
Tb 0.938 0.562 0.938
Tb 0.938 0.938 0.562
Mg 0.170 0.170 0.170
Mg 0.170 0.170 0.491
Mg 0.170 0.491 0.170
Mg 0.491 0.170 0.170
Ni 0.174 0.609 0.609
Ni 0.609 0.174 0.609
Ni 0.609 0.609 0.174
Ni 0.609 0.609 0.609

Main lines, sorted by position (5 to 70 degrees two-theta):
2θ = 11.2°, intensity 14.9
2θ = 28.5°, intensity 56.7
2θ = 32.1°, intensity 64.8
2θ = 34.2°, intensity 100.0
2θ = 37.3°, intensity 28.2
2θ = 47.6°, intensity 11.8
2θ = 55.1°, intensity 19.3
2θ = 57.3°, intensity 58.2
2θ = 58.6°, intensity 14.3
2θ = 68.4°, intensity 13.4